Ca2In9Ni3: theoretical powder X-ray diffraction pattern (copper Kα), based on DFT lattice parameters and positions (PBE).

Crystal structure
```
Ca2In9Ni3
1.0
7.1049 -4.0816 0.0000
7.1049 4.0816 0.0000
-4.7980 0.0000 10.3345
Ca In Ni
4 18 6
Direct
0.0846 0.2523 0.2504
0.2523 0.0846 0.7504
0.7477 0.9154 0.2496
0.9154 0.7477 0.7496
0.0124 0.8699 0.0743
0.1301 0.9876 0.4257
0.1804 0.3588 0.5751
0.1942 0.5817 0.2513
0.3042 0.4817 0.9427
0.3583 0.6417 0.7500
0.3588 0.1804 0.0751
0.4183 0.8058 0.2487
0.4817 0.3042 0.4427
0.5183 0.6958 0.5573
0.5817 0.1942 0.7513
0.6412 0.8196 0.9249
0.6417 0.3583 0.2500
0.6958 0.5183 0.0573
0.8058 0.4183 0.7487
0.8196 0.6412 0.4249
0.8699 0.0124 0.5743
0.9876 0.1301 0.9257
0.0000 0.5000 0.0000
0.1688 0.6663 0.4994
0.3337 0.8312 0.0006
0.5000 0.0000 0.5000
0.6663 0.1688 0.9994
0.8312 0.3337 0.5006
```

Top 6 peaks for 15° ≤ 2θ ≤ 90°, by angle:
Position (°2θ)	d/Å	Rel. int.
33.63	2.665	22
33.92	2.643	64
34.07	2.631	100
37.99	2.368	37
38.14	2.359	72
42.09	2.147	44